For Sr3Tl5Rh6, a PBE-relaxed structure gives the computed powder diffractogram in this record (λ = 1.5418 Å (Cu Kα)).
Neutral-atom scattering factors, no anomalous dispersion.

Top 10 peaks for 2θ = 5–70°, low angle first:
2θ (°)  I (rel.)  hkl
17.25  27  0 2 0
27.67  54  1 0 3
32.44  41  1 3 0
32.79  24  1 2 3
32.93  37  0 3 3
35.17  58  1 3 2
38.72  100  2 0 0
42.70  57  1 2 5
42.82  23  0 3 5
61.26  30  1 6 3

Atomic structure:
Cell lengths 4.6539, 10.2824, 13.4077 Å; angles 90.00, 90.00, 90.00 degrees
Space group Immm (No. 71)
One atom of each set of equivalent atoms:
1 Sr 0.0000 0.0000 0.0000 (multiplicity 2)
2 Sr 0.0000 0.0000 0.3226 (multiplicity 4)
3 Tl 0.0000 0.3404 0.3162 (multiplicity 8)
4 Tl 0.0000 0.5000 0.0000 (multiplicity 2)
5 Rh 0.0000 0.2144 0.5000 (multiplicity 4)
6 Rh 0.0000 0.2726 0.1045 (multiplicity 8)